# CsV3B2P4H8O22
Computed X-ray diffraction stick pattern, Cu Ka. Input: a PBE+U-relaxed structure.

Principal peaks in the range 10° ≤ 2θ ≤ 80°, low angle first:
(1 1 -1), 18.3°, I = 29.2; (2 2 0), 21.8°, I = 78.4; (1 3 -1), 22.7°, I = 36.8; (1 1 1), 24.3°, I = 22.9; (0 4 1), 26.6°, I = 100.0; (2 4 0), 27.3°, I = 29.6; (3 1 0), 29.9°, I = 22.7; (3 3 -1), 32.3°, I = 40.8

Atomic structure:
```
data_CsV3B2P4H8O22
_symmetry_space_group_name_H-M 'C 1 2/m 1'
_symmetry_Int_Tables_number 12
_symmetry_space_group_name_Hall '-C 2y'
_cell_length_a 9.686
_cell_length_b 18.772
_cell_length_c 5.110
_cell_angle_alpha 90.00
_cell_angle_beta 110.50
_cell_angle_gamma 90.00
loop_
_atom_site_label
_atom_site_type_symbol
_atom_site_fract_x
_atom_site_fract_y
_atom_site_fract_z
Cs1 Cs 0.000 0.000 0.000
V1 V 0.000 0.500 0.500
V2 V 0.250 0.250 0.000
B1 B 0.000 0.166 0.500
P1 P 0.216 0.360 0.479
H1 H 0.029 0.249 0.258
H2 H 0.139 0.459 0.036
O1 O 0.050 0.212 0.751
O2 O 0.120 0.428 0.376
O3 O 0.123 0.118 0.506
O4 O 0.149 0.500 0.921
O5 O 0.159 0.300 0.263
O6 O 0.218 0.340 0.771
```